Structure and theoretical powder diffraction line list of Rb3LiIrO4 (a structure optimized by DFT (PBE); copper Kα).
Peak positions follow from Bragg's law for the DFT cell and can differ from measured ones.

The 10 most intense peaks (2θ from 10° to 90°), by angle:
2θ = 16.83°, I = 21
2θ = 17.69°, I = 21
2θ = 21.16°, I = 27
2θ = 24.51°, I = 22
2θ = 26.90°, I = 21
2θ = 27.47°, I = 28
2θ = 30.88°, I = 100
2θ = 31.25°, I = 17
2θ = 33.07°, I = 19
2θ = 54.92°, I = 14

Structure:
```
Rb3LiIrO4
1.0
5.4571 -5.0130 0.0000
5.4571 5.0130 0.0000
-1.5833 0.0000 5.8458
Rb Li Ir O
6 2 2 8
Direct
0.0950 0.9050 0.7500 Rb
0.2540 0.4321 0.5182 Rb
0.4321 0.2540 0.0182 Rb
0.5679 0.7460 0.9818 Rb
0.7460 0.5679 0.4818 Rb
0.9050 0.0950 0.2500 Rb
0.2304 0.7696 0.2500 Li
0.7696 0.2304 0.7500 Li
0.0000 0.5000 0.0000 Ir
0.5000 0.0000 0.5000 Ir
0.0183 0.2960 0.7503 O
0.2316 0.5884 0.9742 O
0.2960 0.0183 0.2503 O
0.4116 0.7684 0.5258 O
0.5884 0.2316 0.4742 O
0.7040 0.9817 0.7497 O
0.7684 0.4116 0.0258 O
0.9817 0.7040 0.2497 O
```